(1)
Diffraction record for BeInAu4. The XRD peak list is calculated, not measured: it uses a GGA-PBE-relaxed structure and Cu Kα.

Cell and atoms:
```
data_BeInAu4
_chemical_formula_sum 'Be4 In4 Au16'
_symmetry_space_group_name_H-M 'C 1 2/c 1'
_symmetry_Int_Tables_number 15
_symmetry_space_group_name_Hall '-C 2yc'
_cell_length_a 17.1304
_cell_length_b 5.3920
_cell_length_c 4.7785
_cell_angle_alpha 90.00
_cell_angle_beta 101.77
_cell_angle_gamma 90.00
loop_
_atom_site_label
_atom_site_fract_x
_atom_site_fract_y
_atom_site_fract_z
Be1 0.2500 0.2500 0.0000
In1 0.0000 0.2002 0.2500
Au1 0.1010 0.3435 0.8186
Au2 0.1788 0.1450 0.3696
```

Largest 12 diffraction maxima, low angle first, 5 to 70 degrees two-theta:
Position (°2θ)	Rel. int.	hkl
21.19	34	4 0 0
31.41	63	5 1 0
33.90	54	5 1 -1
37.76	59	2 0 -2
38.53	100	0 2 1
39.80	89	5 1 1
41.16	21	2 2 1
42.18	57	7 1 -1
42.33	27	4 2 -1
58.24	33	5 3 0
66.88	21	7 1 -3
68.43	25	2 2 -3

=====

(2)
Diffraction record for Be3InAu3. The XRD peak list is calculated, not measured: it uses a GGA-PBE-relaxed structure and Cu Kα.

Cell and atoms:
```
data_Be3InAu3
_chemical_formula_sum 'Be6 In2 Au6'
_symmetry_space_group_name_H-M 'P m -3 n'
_symmetry_Int_Tables_number 223
_symmetry_space_group_name_Hall '-P 4n 2 3'
_cell_length_a 6.4188
_cell_length_b 6.4188
_cell_length_c 6.4188
_cell_angle_alpha 90.00
_cell_angle_beta 90.00
_cell_angle_gamma 90.00
loop_
_atom_site_label
_atom_site_fract_x
_atom_site_fract_y
_atom_site_fract_z
Be1 0.0000 0.2500 0.5000
In1 0.0000 0.0000 0.0000
Au1 0.0000 0.5000 0.2500
```

Largest 12 diffraction maxima, low angle first, 5 to 70 degrees two-theta:
Position (°2θ)	Rel. int.	hkl
19.56	8	1 1 0
27.80	24	2 0 0
31.16	100	2 1 0
34.22	55	2 1 1
44.64	2	3 1 0
49.17	16	2 2 2
51.32	26	3 2 0
53.41	31	3 2 1
57.42	16	4 0 0
64.98	9	4 2 0
66.79	23	4 2 1
68.57	7	3 3 2

=====

(3)
Diffraction record for BeIrAu2. The XRD peak list is calculated, not measured: it uses a GGA-PBE-relaxed structure and Cu Kα.

Cell and atoms:
```
data_BeIrAu2
_chemical_formula_sum 'Be2 Ir2 Au4'
_symmetry_space_group_name_H-M 'C m m 2'
_symmetry_Int_Tables_number 35
_symmetry_space_group_name_Hall 'C 2 -2'
_cell_length_a 2.9115
_cell_length_b 4.7164
_cell_length_c 8.8307
_cell_angle_alpha 90.00
_cell_angle_beta 90.00
_cell_angle_gamma 90.00
loop_
_atom_site_label
_atom_site_fract_x
_atom_site_fract_y
_atom_site_fract_z
Be1 0.0000 0.0000 0.0000
Ir1 0.0000 0.5000 0.8099
Au1 0.0000 0.0000 0.5215
Au2 0.0000 0.5000 0.2214
```

Largest 12 diffraction maxima, low angle first, 5 to 70 degrees two-theta:
Position (°2θ)	Rel. int.	hkl
10.02	17	0 0 1
20.11	9	0 0 2
30.37	47	0 0 3
36.26	9	1 1 0
37.71	42	1 1 1
38.16	40	0 2 0
40.88	13	0 0 4
41.81	100	1 1 2
49.53	25	0 2 3
57.15	10	0 2 4
63.95	9	2 0 0
64.83	32	1 1 5

=====

What did the second record say?
Diffraction record for Be3InAu3. The XRD peak list is calculated, not measured: it uses a GGA-PBE-relaxed structure and Cu Kα.

Cell and atoms:
```
data_Be3InAu3
_chemical_formula_sum 'Be6 In2 Au6'
_symmetry_space_group_name_H-M 'P m -3 n'
_symmetry_Int_Tables_number 223
_symmetry_space_group_name_Hall '-P 4n 2 3'
_cell_length_a 6.4188
_cell_length_b 6.4188
_cell_length_c 6.4188
_cell_angle_alpha 90.00
_cell_angle_beta 90.00
_cell_angle_gamma 90.00
loop_
_atom_site_label
_atom_site_fract_x
_atom_site_fract_y
_atom_site_fract_z
Be1 0.0000 0.2500 0.5000
In1 0.0000 0.0000 0.0000
Au1 0.0000 0.5000 0.2500
```

Largest 12 diffraction maxima, low angle first, 5 to 70 degrees two-theta:
Position (°2θ)	Rel. int.	hkl
19.56	8	1 1 0
27.80	24	2 0 0
31.16	100	2 1 0
34.22	55	2 1 1
44.64	2	3 1 0
49.17	16	2 2 2
51.32	26	3 2 0
53.41	31	3 2 1
57.42	16	4 0 0
64.98	9	4 2 0
66.79	23	4 2 1
68.57	7	3 3 2